Diffraction record for SmErNb2Ge2. The X-ray diffraction stick pattern is calculated, not measured: it uses a PBE-relaxed structure and Cu Kα X-rays.

Atomic structure:
Cell: 4.0430 4.0430 7.9364 Å, 90.00 90.00 90.00°
Space group P4mm (No. 99)
Unique sites:
1 Sm 0.0000 0.0000 0.0000
2 Er 0.5000 0.5000 0.7039
3 Nb 0.0000 0.5000 0.3582
4 Ge 0.0000 0.0000 0.6014
5 Ge 0.5000 0.5000 0.1160

Principal peaks in the range 5 to 70 degrees two-theta, sorted by position:
(hkl)	2theta	I_rel
1 1 0	31.29	32
1 0 2	31.59	82
1 1 1	33.31	100
0 0 3	33.88	37
1 1 2	38.82	88
1 0 3	40.76	27
2 0 0	44.84	68
2 1 2	55.88	33
2 0 3	57.36	33
1 0 5	62.90	24